Computed powder diffraction line list of MgMn6O8F4 for a wavelength of 1.5418 Å, from DFT lattice parameters and positions (PBE+U).

Principal peaks in the range 2θ from 5° to 70°, most intense first:
2θ 25.59, I 100.0
2θ 51.15, I 66.0
2θ 34.57, I 47.7
2θ 64.46, I 25.3
2θ 52.58, I 22.1
2θ 39.25, I 18.1
2θ 36.50, I 14.4
2θ 66.93, I 12.0
2θ 59.36, I 8.5
2θ 40.99, I 8.1
2θ 60.67, I 6.7
2θ 20.48, I 2.4

Atomic structure:
```
data_MgMn6O8F4
_chemical_formula_sum 'Mg1 Mn6 O8 F4'
_cell_length_a 4.922
_cell_length_b 9.159
_cell_length_c 4.925
_cell_angle_alpha 90.00
_cell_angle_beta 90.04
_cell_angle_gamma 90.00
_space_group_name_H-M_alt 'P 1 2 1'
_space_group_IT_number 3
loop_
_space_group_symop_operation_xyz
'x,y,z'
'-x,y,-z'
loop_
_atom_site_label
_atom_site_type_symbol
_atom_site_fract_x
_atom_site_fract_y
_atom_site_fract_z
_atom_site_occupancy
Mg1 Mg 0.000 0.000 0.000 1
Mn1 Mn 0.000 0.084 0.500 1
Mn2 Mn 0.000 0.434 0.500 1
Mn3 Mn 0.000 0.745 0.500 1
Mn4 Mn 0.500 0.252 0.000 1
Mn5 Mn 0.500 0.563 0.000 1
Mn6 Mn 0.500 0.913 0.000 1
O1 O 0.185 0.585 0.315 1
O2 O 0.191 0.911 0.296 1
O3 O 0.298 0.087 0.808 1
O4 O 0.315 0.412 0.815 1
F1 F 0.181 0.259 0.311 1
F2 F 0.312 0.738 0.818 1
```